(1)
Starting from a cell relaxed with GGA-PBE, the powder diffraction line list of Sr2Mg5Sn3Hg2 was simulated for copper Kα.
Intensities are scaled so that the largest is 100.

Peak list (12 most intense, 2θ = 10–80°, in order of falling intensity)
2theta  I (rel.)
27.3  100.0
26.7  98.4
23.3  80.8
38.9  60.6
34.7  41.3
47.8  41.2
38.3  31.5
45.9  28.6
19.4  24.6
39.8  23.4
42.4  21.8
56.2  20.9

```
12
Lattice="-2.314 2.314 16.863 2.314 -2.314 16.863 2.314 2.314 -16.863" Properties=species:S:1:pos:R:3 pbc="T T T"
Sr 0.000 0.000 7.116
Sr 0.000 0.000 26.609
Mg 0.000 0.000 0.000
Mg 2.314 0.000 4.348
Mg 2.314 0.000 12.515
Mg 0.000 2.314 4.348
Mg 0.000 2.314 12.515
Sn 0.000 0.000 10.650
Sn 0.000 0.000 16.863
Sn 0.000 0.000 23.076
Hg 0.000 0.000 2.656
Hg 0.000 0.000 31.070
```

***

(2)
Starting from a cell relaxed with GGA-PBE, the powder diffraction line list of YMgSnHg was simulated for copper Kα.
Intensities are scaled so that the largest is 100.

Peak list (12 most intense, 2θ = 10–80°, in order of falling intensity)
2theta  I (rel.)
33.9  100.0
36.7  20.2
26.6  20.0
20.8  17.6
39.0  17.1
64.4  15.9
67.5  13.8
42.2  13.7
54.7  12.9
71.4  11.8
71.9  11.5
57.2  11.3

```
4
Lattice="4.280 0.000 0.000 0.000 4.614 0.000 0.000 0.000 4.891" Properties=species:S:1:pos:R:3 pbc="T T T"
Y 0.000 0.000 0.000
Mg 0.000 2.307 2.446
Sn 2.140 2.307 0.000
Hg 2.140 0.000 2.446
```

***

(3)
Starting from a cell relaxed with GGA-PBE, the powder diffraction line list of Sr2Mg16Hg was simulated for copper Kα.
Intensities are scaled so that the largest is 100.

Peak list (12 most intense, 2θ = 10–80°, in order of falling intensity)
2theta  I (rel.)
16.9  100.0
34.2  97.1
29.5  93.4
11.3  89.7
35.1  70.6
34.4  63.4
15.1  61.8
30.5  56.0
25.2  46.1
24.3  42.8
35.3  42.6
62.5  39.4

```
19
Lattice="5.246 3.029 5.115 -5.246 3.029 5.115 0.000 -6.058 5.115" Properties=species:S:1:pos:R:3 pbc="T T T"
Sr 0.000 0.000 0.000
Sr 0.000 0.000 5.058
Mg 0.000 -3.005 2.713
Mg -2.603 1.503 2.713
Mg -2.641 -1.525 7.642
Mg 0.000 -3.039 7.436
Mg -2.631 1.519 7.436
Mg -1.566 -2.711 10.196
Mg -3.131 -0.001 10.196
Mg 2.603 1.503 2.713
Mg 0.000 0.000 8.857
Mg 1.566 -2.711 10.196
Mg -1.565 2.712 10.196
Mg 2.641 -1.525 7.642
Mg 0.000 3.049 7.642
Mg 2.631 1.519 7.436
Mg 3.131 -0.001 10.196
Mg 1.565 2.712 10.196
Hg 0.000 0.000 11.872
```

***

(4)
Starting from a cell relaxed with GGA-PBE, the powder diffraction line list of Sr2Mg12Hg7 was simulated for copper Kα.
Intensities are scaled so that the largest is 100.

Peak list (12 most intense, 2θ = 10–80°, in order of falling intensity)
2theta  I (rel.)
23.4  100.0
31.1  47.9
41.1  45.1
27.0  43.7
25.5  36.6
38.2  34.4
47.9  31.2
59.6  30.4
64.9  26.7
44.4  26.6
22.1  23.9
41.2  19.9

```
21
Lattice="11.620 0.000 0.000 -5.810 10.064 0.000 0.000 0.000 4.379" Properties=species:S:1:pos:R:3 pbc="T T T"
Sr 0.000 0.000 0.000
Sr 0.000 6.709 2.190
Mg -3.867 7.688 2.190
Mg -1.070 3.847 0.000
Mg 1.086 2.870 2.190
Mg -1.943 9.067 0.000
Mg 3.260 2.157 0.000
Mg 5.608 1.087 2.190
Mg 3.948 4.663 2.190
Mg 3.013 7.213 0.000
Mg 2.782 9.569 2.190
Mg 8.122 1.745 0.000
Mg 6.048 6.162 0.000
Mg 7.875 4.313 2.190
Hg -2.657 6.192 0.000
Hg 2.644 0.408 2.190
Hg 1.776 4.667 0.000
Hg 0.881 9.268 0.000
Hg 5.810 3.355 0.000
Hg 4.842 7.569 2.190
Hg 9.945 2.086 2.190
```